# Sm7Dy4Y2
Computed XRD peak list, Cu Kα (λ = 1.5418 Å). Input: a cell relaxed with PBE.
Lines closer than 0.1° are merged.

Peak list (8 most intense, 10 to 80 degrees two-theta, sorted by position)
| two_theta | d/Å | I_rel | index |
| --- | --- | --- | --- |
| 26.26 | 3.393 | 22 | 1 0 3 |
| 27.03 | 3.299 | 21 | 0 0 4 |
| 29.80 | 2.999 | 57 | 1 1 1 |
| 31.90 | 2.806 | 17 | 1 0 4 |
| 32.08 | 2.790 | 100 | 2 -1 2 |
| 35.59 | 2.522 | 31 | 1 1 3 |
| 51.03 | 1.790 | 17 | 2 -1 6 |
| 51.40 | 1.778 | 32 | 3 0 0 |

a b c (Å): 6.1582 6.1582 13.1955
angles (deg): 90.00 90.00 120.00
Space group P-31m (No. 162)
Inequivalent atoms, fractional coordinates:
1 Sm 0.0000 0.0000 0.0000
2 Sm 0.0000 0.3685 0.2212
3 Dy 0.0000 0.0000 0.3924
4 Dy 0.3333 0.6667 0.5000
5 Y 0.3333 0.6667 0.0000

***

# Ce7Tc2Ru2
Computed XRD peak list, Cu Kα (λ = 1.5418 Å). Input: a cell relaxed with PBE.
Lines closer than 0.1° are merged.

Peak list (8 most intense, 10 to 80 degrees two-theta, sorted by position)
| two_theta | d/Å | I_rel | index |
| --- | --- | --- | --- |
| 27.51 | 3.242 | 95 | 0 2 1 |
| 28.89 | 3.090 | 69 | 1 1 -2 |
| 29.52 | 3.026 | 91 | 2 2 0 |
| 33.96 | 2.640 | 87 | 4 0 0 |
| 35.57 | 2.524 | 42 | 3 1 -2 |
| 37.84 | 2.378 | 100 | 2 2 -2 |
| 41.95 | 2.154 | 71 | 3 1 2 |
| 48.33 | 1.883 | 33 | 3 3 1 |

a b c (Å): 10.7220 7.3851 6.8803
angles (deg): 90.00 100.02 90.00
Space group C2/m (No. 12)
Inequivalent atoms, fractional coordinates:
1 Ce 0.0000 0.0000 0.0000
2 Ce 0.0306 0.5000 0.2599
3 Ce 0.2305 0.2452 0.6989
4 Tc 0.0000 0.1731 0.5000
5 Ru 0.1989 0.5000 0.9603

***

# KSb2As
Computed XRD peak list, Cu Kα (λ = 1.5418 Å). Input: a cell relaxed with PBE.
Lines closer than 0.1° are merged.

Peak list (8 most intense, 10 to 80 degrees two-theta, sorted by position)
| two_theta | d/Å | I_rel | index |
| --- | --- | --- | --- |
| 14.77 | 5.996 | 100 | 0 0 1 |
| 28.63 | 3.118 | 29 | 2 0 -2 |
| 30.49 | 2.932 | 65 | 1 1 1 |
| 33.60 | 2.667 | 30 | 4 0 0 |
| 33.91 | 2.644 | 73 | 3 1 -1 |
| 34.49 | 2.600 | 17 | 3 1 0 |
| 39.69 | 2.271 | 24 | 3 1 -2 |
| 41.44 | 2.179 | 26 | 1 1 2 |

a b c (Å): 11.3808 3.8117 6.3960
angles (deg): 90.00 110.36 90.00
Space group Cm (No. 8)
Inequivalent atoms, fractional coordinates:
1 K 0.0000 0.0000 0.0000
2 Sb 0.2086 0.0000 0.6365
3 Sb 0.4749 0.0000 0.4802
4 As 0.2613 0.5000 0.3713

***

# CsAsCCl
Computed XRD peak list, Cu Kα (λ = 1.5418 Å). Input: a cell relaxed with PBE.
Lines closer than 0.1° are merged.

Peak list (8 most intense, 10 to 80 degrees two-theta, sorted by position)
| two_theta | d/Å | I_rel | index |
| --- | --- | --- | --- |
| 20.69 | 4.293 | 77 | 2 0 -1 |
| 24.24 | 3.671 | 100 | 2 0 1 |
| 24.36 | 3.655 | 42 | 4 0 0 |
| 27.70 | 3.221 | 61 | 1 1 0 |
| 28.29 | 3.155 | 51 | 4 0 -1 |
| 34.37 | 2.609 | 64 | 1 1 1 |
| 36.43 | 2.466 | 46 | 3 1 -1 |
| 41.24 | 2.189 | 50 | 5 1 0 |

a b c (Å): 14.8358 3.3019 4.7572
angles (deg): 90.00 99.83 90.00
Space group Cm (No. 8)
Inequivalent atoms, fractional coordinates:
1 Cs 0.0000 0.0000 0.0000
2 As 0.2885 0.5000 0.4106
3 C 0.3487 0.0000 0.5315
4 Cl 0.1217 0.5000 0.5710